# 1
# NaLaSn4
Calculated powder XRD pattern, Cu Kα (λ = 1.5418 Å). Input: a PBE-relaxed structure.
Kinematic intensities with the Lorentz-polarization factor, no thermal factor.

Top 12 peaks for 5° ≤ 2θ ≤ 70°, sorted by position:
11.233 Å, rel. 83.8, (0 2 0); 3.252 Å, rel. 26.7, (1 5 0); 2.741 Å, rel. 100.0, (1 1 2); 2.652 Å, rel. 73.8, (1 7 0); 2.521 Å, rel. 51.8, (0 6 2); 2.355 Å, rel. 29.8, (2 0 0); 2.168 Å, rel. 19.1, (0 8 2); 1.721 Å, rel. 33.3, (2 6 2); 1.595 Å, rel. 13.2, (2 8 2); 1.465 Å, rel. 21.8, (1 13 2); 1.434 Å, rel. 19.2, (1 7 4); 1.423 Å, rel. 13.9, (3 1 2)

Structure:
```
data_NaLaSn4
_cell_length_a 4.710
_cell_length_b 22.467
_cell_length_c 6.818
_cell_angle_alpha 90.00
_cell_angle_beta 90.00
_cell_angle_gamma 90.00
_space_group_name_H-M_alt 'C m c m'
_space_group_IT_number 63
_space_group_name_Hall '-C 2c 2'
loop_
_atom_site_label
_atom_site_fract_x
_atom_site_fract_y
_atom_site_fract_z
Na1 0.000 0.234 0.250
La1 0.000 0.071 0.750
Sn1 0.000 0.080 0.250
Sn2 0.000 0.352 0.527
Sn3 0.000 0.500 0.000
```

=====

# 2
# SmY12Sc2
Calculated powder XRD pattern, Cu Kα (λ = 1.5418 Å). Input: a PBE-relaxed structure.
Kinematic intensities with the Lorentz-polarization factor, no thermal factor.

Top 12 peaks for 5° ≤ 2θ ≤ 70°, sorted by position:
3.067 Å, rel. 13.9, (0 14 1); 2.879 Å, rel. 100.0, (1 1 1); 2.821 Å, rel. 90.7, (0 16 1); 2.585 Å, rel. 61.3, (1 15 0); 2.407 Å, rel. 33.5, (0 0 2); 1.800 Å, rel. 13.4, (2 0 0); 1.761 Å, rel. 37.7, (1 15 2); 1.525 Å, rel. 27.9, (1 31 1); 1.517 Å, rel. 26.3, (2 16 1); 1.465 Å, rel. 12.3, (1 1 3); 1.457 Å, rel. 11.8, (0 16 3); 1.441 Å, rel. 13.0, (2 0 2)

Structure:
```
data_SmY12Sc2
_cell_length_a 3.600
_cell_length_b 55.700
_cell_length_c 4.813
_cell_angle_alpha 90.00
_cell_angle_beta 90.00
_cell_angle_gamma 90.00
_space_group_name_H-M_alt 'C m m m'
_space_group_IT_number 65
_space_group_name_Hall '-C 2 2'
loop_
_atom_site_label
_atom_site_fract_x
_atom_site_fract_y
_atom_site_fract_z
Sm1 0.000 0.000 0.000
Y1 0.000 0.066 0.000
Y2 0.000 0.191 0.000
Y3 0.000 0.276 0.500
Y4 0.000 0.340 0.500
Y5 0.000 0.401 0.500
Y6 0.000 0.467 0.500
Sc1 0.000 0.129 0.000
```